For Ba2LiBe, DFT lattice parameters and positions (PBE) gives the computed X-ray powder pattern in this record (Cu Ka).
Kinematic intensities with the Lorentz-polarization factor, no thermal factor.

Cell and atoms:
```
Ba2LiBe
1.0
4.804 0.000 0.000
0.000 5.053 0.000
-2.394 0.000 6.044
Ba Li Be
2 1 1
Direct
0.000 0.000 0.000
0.286 0.500 0.573
0.688 0.000 0.377
0.591 0.500 0.181
```

Peak list (10 most intense, 10 to 90 degrees two-theta, low angle first)
- 2θ 19.89, d 4.464, intensity 52
- 2θ 22.94, d 3.877, intensity 100
- 2θ 26.64, d 3.346, intensity 98
- 2θ 28.92, d 3.087, intensity 54
- 2θ 29.56, d 3.022, intensity 23
- 2θ 34.03, d 2.634, intensity 17
- 2θ 35.53, d 2.527, intensity 20
- 2θ 44.37, d 2.042, intensity 35
- 2θ 45.69, d 1.986, intensity 31
- 2θ 46.44, d 1.955, intensity 29


For Mg5Os, DFT lattice parameters and positions (PBE) gives the computed X-ray powder pattern in this record (Cu Ka).
Kinematic intensities with the Lorentz-polarization factor, no thermal factor.

Cell and atoms:
```
Mg5Os
1.0
5.242 0.000 0.000
-2.621 4.540 0.000
0.000 0.000 4.739
Mg Os
5 1
Direct
0.000 0.692 0.000
0.308 0.308 0.000
0.333 0.667 0.500
0.667 0.333 0.500
0.692 0.000 0.000
0.000 0.000 0.500
```

Peak list (10 most intense, 10 to 90 degrees two-theta, low angle first)
- 2θ 18.72, d 4.739, intensity 33
- 2θ 19.56, d 4.540, intensity 100
- 2θ 27.20, d 3.278, intensity 75
- 2θ 34.21, d 2.621, intensity 40
- 2θ 37.97, d 2.370, intensity 22
- 2θ 39.28, d 2.294, intensity 99
- 2θ 43.06, d 2.101, intensity 27
- 2θ 44.25, d 2.047, intensity 27
- 2θ 52.03, d 1.758, intensity 24
- 2θ 57.09, d 1.613, intensity 24


For Tb2C3, DFT lattice parameters and positions (PBE) gives the computed X-ray powder pattern in this record (Cu Ka).
Kinematic intensities with the Lorentz-polarization factor, no thermal factor.

Cell and atoms:
```
Tb2C3
1.0
-4.144 4.144 4.144
4.144 -4.144 4.144
4.144 4.144 -4.144
Tb C
8 12
Direct
0.000 0.399 0.500
0.000 0.899 0.500
0.101 0.101 0.101
0.399 0.500 0.000
0.500 0.000 0.399
0.500 0.000 0.899
0.601 0.601 0.601
0.899 0.500 0.000
0.044 0.750 0.794
0.206 0.750 0.956
0.250 0.544 0.294
0.250 0.706 0.456
0.294 0.250 0.544
0.456 0.250 0.706
0.544 0.294 0.250
0.706 0.456 0.250
0.750 0.794 0.044
0.750 0.956 0.206
0.794 0.044 0.750
0.956 0.206 0.750
```

Peak list (10 most intense, 10 to 90 degrees two-theta, low angle first)
- 2θ 26.34, d 3.384, intensity 48
- 2θ 30.51, d 2.930, intensity 100
- 2θ 34.21, d 2.621, intensity 99
- 2θ 40.73, d 2.215, intensity 51
- 2θ 51.73, d 1.767, intensity 28
- 2θ 56.63, d 1.625, intensity 65
- 2θ 61.26, d 1.513, intensity 29
- 2θ 74.14, d 1.279, intensity 19
- 2θ 86.24, d 1.128, intensity 21
- 2θ 88.22, d 1.108, intensity 16


For LiAlGeO4, DFT lattice parameters and positions (PBE) gives the computed X-ray powder pattern in this record (Cu Ka).
Kinematic intensities with the Lorentz-polarization factor, no thermal factor.

Cell and atoms:
```
LiAlGeO4
1.0
6.982 4.031 3.101
-6.982 4.031 3.101
0.000 -8.062 3.101
Li Al Ge O
6 6 6 24
Direct
0.020 0.791 0.190
0.190 0.020 0.791
0.308 0.479 0.707
0.479 0.707 0.308
0.707 0.308 0.479
0.791 0.190 0.020
0.149 0.381 0.972
0.381 0.972 0.149
0.458 0.863 0.680
0.680 0.458 0.863
0.863 0.680 0.458
0.972 0.149 0.381
0.042 0.636 0.820
0.118 0.528 0.351
0.351 0.118 0.528
0.528 0.351 0.118
0.636 0.820 0.042
0.820 0.042 0.636
0.160 0.502 0.839
0.199 0.217 0.530
0.201 0.868 0.925
0.217 0.530 0.199
0.282 0.970 0.300
0.298 0.630 0.573
0.300 0.282 0.970
0.339 0.996 0.659
0.502 0.839 0.160
0.530 0.199 0.217
0.562 0.592 0.896
0.573 0.298 0.630
0.592 0.896 0.562
0.604 0.937 0.908
0.630 0.573 0.298
0.659 0.339 0.996
0.839 0.160 0.502
0.868 0.925 0.201
0.896 0.562 0.592
0.908 0.604 0.937
0.925 0.201 0.868
0.937 0.908 0.604
0.970 0.300 0.282
0.996 0.659 0.339
```

Peak list (10 most intense, 10 to 90 degrees two-theta, low angle first)
- 2θ 12.68, d 6.982, intensity 19
- 2θ 20.46, d 4.341, intensity 32
- 2θ 21.66, d 4.102, intensity 100
- 2θ 25.51, d 3.491, intensity 53
- 2θ 27.36, d 3.260, intensity 20
- 2θ 31.57, d 2.834, intensity 57
- 2θ 33.97, d 2.639, intensity 53
- 2θ 38.85, d 2.318, intensity 19
- 2θ 48.93, d 1.861, intensity 29
- 2θ 65.60, d 1.423, intensity 34


For YbRhO3, DFT lattice parameters and positions (PBE) gives the computed X-ray powder pattern in this record (Cu Ka).
Kinematic intensities with the Lorentz-polarization factor, no thermal factor.

Cell and atoms:
```
YbRhO3
1.0
5.747 0.000 0.000
0.000 7.693 0.000
0.000 0.000 5.320
Yb Rh O
4 4 12
Direct
0.079 0.250 0.027
0.421 0.750 0.527
0.579 0.250 0.473
0.921 0.750 0.973
0.000 0.000 0.500
0.000 0.500 0.500
0.500 0.000 0.000
0.500 0.500 0.000
0.045 0.750 0.375
0.193 0.560 0.817
0.193 0.940 0.817
0.307 0.060 0.317
0.307 0.440 0.317
0.455 0.250 0.875
0.545 0.750 0.125
0.693 0.560 0.683
0.693 0.940 0.683
0.807 0.060 0.183
0.807 0.440 0.183
0.955 0.250 0.625
```

Peak list (10 most intense, 10 to 90 degrees two-theta, low angle first)
- 2θ 25.59, d 3.481, intensity 20
- 2θ 31.12, d 2.874, intensity 18
- 2θ 32.68, d 2.740, intensity 100
- 2θ 33.28, d 2.692, intensity 13
- 2θ 33.70, d 2.660, intensity 24
- 2θ 46.52, d 1.952, intensity 14
- 2θ 47.26, d 1.923, intensity 13
- 2θ 48.09, d 1.892, intensity 12
- 2θ 52.11, d 1.755, intensity 16
- 2θ 59.62, d 1.551, intensity 20


For AlAg4F6, DFT lattice parameters and positions (PBE) gives the computed X-ray powder pattern in this record (Cu Ka).
Kinematic intensities with the Lorentz-polarization factor, no thermal factor.

Cell and atoms:
```
AlAg4F6
1.0
7.143 0.000 0.000
0.000 7.143 0.000
0.000 0.000 6.742
Al Ag F
2 8 12
Direct
0.000 0.000 0.000
0.500 0.500 0.500
0.138 0.362 0.250
0.138 0.362 0.750
0.362 0.862 0.250
0.362 0.862 0.750
0.638 0.138 0.250
0.638 0.138 0.750
0.862 0.638 0.250
0.862 0.638 0.750
0.000 0.000 0.267
0.000 0.000 0.733
0.113 0.764 0.000
0.236 0.113 0.000
0.264 0.613 0.500
0.387 0.264 0.500
0.500 0.500 0.233
0.500 0.500 0.767
0.613 0.736 0.500
0.736 0.387 0.500
0.764 0.887 0.000
0.887 0.236 0.000
```

Peak list (10 most intense, 10 to 90 degrees two-theta, low angle first)
- 2θ 17.56, d 5.051, intensity 17
- 2θ 26.44, d 3.371, intensity 37
- 2θ 27.93, d 3.194, intensity 81
- 2θ 31.92, d 2.804, intensity 21
- 2θ 38.84, d 2.319, intensity 100
- 2θ 39.91, d 2.259, intensity 31
- 2θ 45.80, d 1.981, intensity 16
- 2θ 48.52, d 1.876, intensity 26
- 2θ 58.49, d 1.578, intensity 18
- 2θ 62.28, d 1.491, intensity 16


For NaSrNiSn2, DFT lattice parameters and positions (PBE) gives the computed X-ray powder pattern in this record (Cu Ka).
Kinematic intensities with the Lorentz-polarization factor, no thermal factor.

Cell and atoms:
```
NaSrNiSn2
1.0
5.026 0.000 0.000
0.000 5.026 0.000
0.000 0.000 5.227
Na Sr Ni Sn
1 1 1 2
Direct
0.000 0.000 0.000
0.500 0.500 0.000
0.000 0.000 0.500
0.000 0.500 0.500
0.500 0.000 0.500
```

Peak list (10 most intense, 10 to 90 degrees two-theta, low angle first)
- 2θ 16.96, d 5.227, intensity 46
- 2θ 24.57, d 3.623, intensity 34
- 2θ 30.42, d 2.939, intensity 100
- 2θ 34.31, d 2.613, intensity 38
- 2θ 35.73, d 2.513, intensity 69
- 2θ 39.80, d 2.265, intensity 22
- 2θ 50.38, d 1.811, intensity 52
- 2θ 51.42, d 1.777, intensity 24
- 2θ 60.93, d 1.521, intensity 29
- 2θ 63.29, d 1.469, intensity 26